Starting from a DFT-relaxed cell (GGA-PBE, Alexandria), the powder X-ray diffraction pattern of Er5PuBi6 was calculated for Cu Ka.

Cell and atoms:
```
12
Lattice="3.869 -6.696 0.000 3.869 6.696 0.000 -2.578 0.000 7.294" Properties=species:S:1:pos:R:3 pbc="T T T"
Er 0.000 0.000 0.000
Er 2.580 4.456 3.647
Er 3.869 2.209 0.000
Er 3.869 -2.209 0.000
Er 2.580 -4.456 3.647
Pu 2.580 0.000 3.647
Bi 1.276 2.253 1.803
Bi -0.027 0.000 5.474
Bi 1.276 -2.253 1.803
Bi 3.883 2.253 5.491
Bi 5.186 0.000 1.820
Bi 3.883 -2.253 5.491
```

Peak list (9 most intense, 15° ≤ 2θ ≤ 90°, by angle)
Position (°2θ), d/Å, Rel. int.
24.41, 3.646, 1
28.26, 3.158, 100
40.39, 2.233, 78
47.76, 1.904, 1
50.03, 1.823, 28
58.45, 1.579, 13
66.17, 1.412, 37
73.45, 1.289, 28
87.34, 1.116, 9